Structure and simulated PXRD pattern of RbU2HgO7 (a crystal structure in Alexandria, relaxed with GGA-PBE; Cu Kα).
Intensities are scaled so that the largest is 100.

```
data_RbU2HgO7
_symmetry_space_group_name_H-M 'P 4/m m m'
_symmetry_Int_Tables_number 123
_symmetry_space_group_name_Hall '-P 4 2'
_cell_length_a 4.271
_cell_length_b 4.271
_cell_length_c 11.121
_cell_angle_alpha 90.00
_cell_angle_beta 90.00
_cell_angle_gamma 90.00
loop_
_atom_site_label
_atom_site_type_symbol
_atom_site_fract_x
_atom_site_fract_y
_atom_site_fract_z
_atom_site_occupancy
Rb1 Rb 0.000 0.000 0.000 1
U1 U 0.500 0.500 0.196 1
Hg1 Hg 0.000 0.000 0.500 1
O1 O 0.000 0.500 0.186 1
O2 O 0.500 0.500 0.000 1
O3 O 0.500 0.500 0.366 1
```

Most intense lines, 10 to 80 degrees two-theta, sorted by position:
- 2θ 22.3, rel. 25.1, hkl 1 0 1
- 2θ 24.0, rel. 21.4, hkl 0 0 3
- 2θ 26.3, rel. 100.0, hkl 1 0 2
- 2θ 29.6, rel. 50.0, hkl 1 1 0
- 2θ 42.3, rel. 26.6, hkl 2 0 0
- 2θ 50.5, rel. 35.0, hkl 2 1 2